Entry 1:
This entry pairs a crystal structure of P4H36WC12Cl2 with its theoretical XRD peak list. Radiation: Cu Kα (λ = 1.5418 Å). Structure: the GGA-PBE geometry in the Materials Project.
Lines closer than 0.1° are merged.

Structural model:
a b c (Å): 9.543 9.543 9.543
angles (deg): 117.62 117.62 94.17
Element x y z (fractional)
1 P 0.145 0.793 0.000
2 P 0.207 0.207 0.352
3 P 0.793 0.145 0.000
4 P 0.855 0.855 0.648
5 H 0.018 0.684 0.563
6 H 0.060 0.187 0.499
7 H 0.087 0.487 0.832
8 H 0.099 0.897 0.634
9 H 0.103 0.737 0.203
10 H 0.121 0.455 0.437
11 H 0.187 0.060 0.499
12 H 0.256 0.655 0.168
13 H 0.263 0.465 0.366
14 H 0.286 0.286 0.670
15 H 0.311 0.813 0.873
16 H 0.316 0.879 0.334
17 H 0.345 0.513 0.600
18 H 0.384 0.714 0.000
19 H 0.438 0.940 0.127
20 H 0.455 0.121 0.437
21 H 0.465 0.263 0.366
22 H 0.487 0.087 0.832
23 H 0.513 0.345 0.600
24 H 0.535 0.901 0.797
25 H 0.545 0.982 0.666
26 H 0.562 0.689 0.501
27 H 0.616 0.616 0.330
28 H 0.655 0.256 0.168
29 H 0.684 0.018 0.563
30 H 0.689 0.562 0.501
31 H 0.714 0.384 0.000
32 H 0.737 0.103 0.203
33 H 0.744 0.913 0.400
34 H 0.813 0.311 0.873
35 H 0.879 0.316 0.334
36 H 0.897 0.099 0.634
37 H 0.901 0.535 0.797
38 H 0.913 0.744 0.400
39 H 0.940 0.438 0.127
40 H 0.982 0.545 0.666
41 W 0.000 0.000 0.000
42 C 0.017 0.568 0.804
43 C 0.183 0.183 0.521
44 C 0.213 0.764 0.196
45 C 0.236 0.432 0.449
46 C 0.338 0.817 0.000
47 C 0.432 0.236 0.449
48 C 0.568 0.017 0.804
49 C 0.662 0.662 0.479
50 C 0.764 0.213 0.196
51 C 0.787 0.983 0.551
52 C 0.817 0.338 0.000
53 C 0.983 0.787 0.551
54 Cl 0.190 0.190 0.000
55 Cl 0.810 0.810 0.000

The 10 most intense peaks (15 to 90 degrees two-theta), by angle:
| two_theta | intensity |
| --- | --- |
| 18.65 | 59 |
| 21.23 | 100 |
| 25.49 | 75 |
| 28.56 | 59 |
| 29.01 | 37 |
| 30.34 | 45 |
| 33.40 | 98 |
| 35.72 | 38 |
| 40.25 | 45 |
| 46.46 | 38 |



Entry 2:
This entry pairs a crystal structure of CoPSe with its theoretical XRD peak list. Radiation: Cu Kα (λ = 1.5418 Å). Structure: the GGA-PBE geometry in the Materials Project.
Lines closer than 0.1° are merged.

Structural model:
a b c (Å): 5.608 5.608 5.608
angles (deg): 90.00 90.00 90.00
Element x y z (fractional)
1 Co 0.011 0.489 0.511
2 Co 0.489 0.511 0.011
3 Co 0.511 0.011 0.489
4 Co 0.989 0.989 0.989
5 P 0.120 0.620 0.880
6 P 0.380 0.380 0.380
7 P 0.620 0.880 0.120
8 P 0.880 0.120 0.620
9 Se 0.120 0.880 0.380
10 Se 0.380 0.120 0.880
11 Se 0.620 0.620 0.620
12 Se 0.880 0.380 0.120

The 10 most intense peaks (15 to 90 degrees two-theta), by angle:
| two_theta | intensity |
| --- | --- |
| 22.42 | 17 |
| 31.92 | 43 |
| 35.80 | 100 |
| 39.35 | 62 |
| 45.76 | 24 |
| 54.25 | 75 |
| 56.87 | 13 |
| 59.42 | 22 |
| 61.91 | 33 |
| 78.09 | 18 |



Entry 3:
This entry pairs a crystal structure of Y4Ga6FeGe6 with its theoretical XRD peak list. Radiation: Cu Kα (λ = 1.5418 Å). Structure: the GGA-PBE geometry in the Materials Project.
Lines closer than 0.1° are merged.

Structural model:
a b c (Å): 7.510 7.510 7.510
angles (deg): 109.47 109.47 109.47
Element x y z (fractional)
1 Y 0.000 0.000 0.500
2 Y 0.000 0.500 0.000
3 Y 0.500 0.000 0.000
4 Y 0.500 0.500 0.500
5 Ga 0.250 0.500 0.750
6 Ga 0.250 0.750 0.500
7 Ga 0.500 0.250 0.750
8 Ga 0.500 0.750 0.250
9 Ga 0.750 0.250 0.500
10 Ga 0.750 0.500 0.250
11 Fe 0.000 0.000 0.000
12 Ge 0.000 0.288 0.288
13 Ge 0.000 0.712 0.712
14 Ge 0.288 0.000 0.288
15 Ge 0.288 0.288 0.000
16 Ge 0.712 0.000 0.712
17 Ge 0.712 0.712 0.000

The 10 most intense peaks (15 to 90 degrees two-theta), by angle:
| two_theta | intensity |
| --- | --- |
| 29.13 | 5 |
| 35.87 | 100 |
| 38.86 | 7 |
| 41.66 | 58 |
| 44.32 | 5 |
| 49.29 | 7 |
| 60.38 | 34 |
| 72.27 | 30 |
| 76.04 | 10 |
| 81.58 | 5 |



Entry 4:
This entry pairs a crystal structure of KCaPHO4 with its theoretical XRD peak list. Radiation: Cu Kα (λ = 1.5418 Å). Structure: the GGA-PBE geometry in the Materials Project.
Lines closer than 0.1° are merged.

Structural model:
a b c (Å): 5.586 5.586 7.866
angles (deg): 94.13 94.13 96.68
Element x y z (fractional)
1 K 0.231 0.769 0.000
2 K 0.769 0.231 0.000
3 Ca 0.218 0.782 0.500
4 Ca 0.782 0.218 0.500
5 P 0.234 0.234 0.747
6 P 0.766 0.766 0.253
7 H 0.336 0.336 0.308
8 H 0.664 0.664 0.692
9 O 0.023 0.023 0.694
10 O 0.152 0.461 0.664
11 O 0.274 0.274 0.942
12 O 0.461 0.152 0.664
13 O 0.539 0.848 0.336
14 O 0.726 0.726 0.058
15 O 0.848 0.539 0.336
16 O 0.977 0.977 0.306

The 10 most intense peaks (15 to 90 degrees two-theta), by angle:
| two_theta | intensity |
| --- | --- |
| 16.03 | 21 |
| 18.89 | 100 |
| 20.41 | 45 |
| 31.35 | 73 |
| 31.47 | 26 |
| 32.38 | 61 |
| 35.20 | 31 |
| 40.90 | 28 |
| 41.50 | 23 |
| 49.37 | 17 |



Entry 5:
This entry pairs a crystal structure of NaCuP4O12 with its theoretical XRD peak list. Radiation: Cu Kα (λ = 1.5418 Å). Structure: the GGA-PBE geometry in the Materials Project.
Lines closer than 0.1° are merged.

Structural model:
a b c (Å): 8.082 8.082 8.014
angles (deg): 93.10 93.10 108.34
Element x y z (fractional)
1 Na 0.144 0.856 0.500
2 Na 0.856 0.144 0.000
3 Cu 0.523 0.798 0.940
4 Cu 0.798 0.523 0.440
5 P 0.113 0.419 0.321
6 P 0.221 0.910 0.075
7 P 0.419 0.113 0.821
8 P 0.454 0.606 0.518
9 P 0.606 0.454 0.018
10 P 0.727 0.879 0.371
11 P 0.879 0.727 0.871
12 P 0.910 0.221 0.575
13 O 0.012 0.828 0.027
14 O 0.031 0.560 0.383
15 O 0.067 0.268 0.451
16 O 0.074 0.349 0.146
17 O 0.246 0.971 0.254
18 O 0.268 0.067 0.951
19 O 0.301 0.770 0.012
20 O 0.320 0.506 0.362
21 O 0.349 0.074 0.646
22 O 0.368 0.629 0.672
23 O 0.506 0.320 0.862
24 O 0.516 0.594 0.043
25 O 0.540 0.792 0.441
26 O 0.560 0.031 0.883
27 O 0.594 0.516 0.543
28 O 0.629 0.368 0.172
29 O 0.715 0.967 0.215
30 O 0.741 0.822 0.856
31 O 0.770 0.301 0.512
32 O 0.792 0.540 0.941
33 O 0.822 0.741 0.356
34 O 0.828 0.012 0.527
35 O 0.967 0.715 0.715
36 O 0.971 0.246 0.754

The 10 most intense peaks (15 to 90 degrees two-theta), by angle:
| two_theta | intensity |
| --- | --- |
| 15.43 | 47 |
| 16.65 | 89 |
| 18.84 | 30 |
| 22.28 | 69 |
| 25.05 | 100 |
| 25.95 | 30 |
| 27.22 | 89 |
| 30.68 | 74 |
| 31.19 | 35 |
| 40.53 | 36 |



Entry 6:
This entry pairs a crystal structure of SbPO6 with its theoretical XRD peak list. Radiation: Cu Kα (λ = 1.5418 Å). Structure: the GGA-PBE geometry in the Materials Project.
Lines closer than 0.1° are merged.

Structural model:
a b c (Å): 8.320 11.798 6.035
angles (deg): 90.00 96.16 90.00
Element x y z (fractional)
1 Sb 0.053 0.179 0.248
2 Sb 0.053 0.321 0.748
3 Sb 0.947 0.679 0.252
4 Sb 0.947 0.821 0.752
5 P 0.230 0.580 0.836
6 P 0.230 0.920 0.336
7 P 0.770 0.080 0.664
8 P 0.770 0.420 0.164
9 O 0.100 0.649 0.703
10 O 0.100 0.851 0.203
11 O 0.171 0.240 0.529
12 O 0.171 0.260 0.029
13 O 0.241 0.043 0.265
14 O 0.241 0.457 0.765
15 O 0.315 0.621 0.047
16 O 0.315 0.879 0.547
17 O 0.421 0.106 0.826
18 O 0.421 0.394 0.326
19 O 0.438 0.632 0.614
20 O 0.438 0.868 0.114
21 O 0.562 0.132 0.886
22 O 0.562 0.368 0.386
23 O 0.579 0.606 0.674
24 O 0.579 0.894 0.174
25 O 0.685 0.121 0.453
26 O 0.685 0.379 0.953
27 O 0.759 0.543 0.235
28 O 0.759 0.957 0.735
29 O 0.829 0.740 0.971
30 O 0.829 0.760 0.471
31 O 0.900 0.149 0.797
32 O 0.900 0.351 0.297

The 10 most intense peaks (15 to 90 degrees two-theta), by angle:
| two_theta | intensity |
| --- | --- |
| 15.02 | 44 |
| 18.47 | 100 |
| 20.62 | 49 |
| 22.78 | 48 |
| 22.99 | 43 |
| 24.45 | 100 |
| 25.94 | 54 |
| 29.78 | 50 |
| 33.86 | 46 |
| 35.08 | 54 |



Entry 7:
This entry pairs a crystal structure of Cu3As2O8 with its theoretical XRD peak list. Radiation: Cu Kα (λ = 1.5418 Å). Structure: the GGA-PBE geometry in the Materials Project.
Lines closer than 0.1° are merged.

Structural model:
a b c (Å): 5.114 5.584 6.486
angles (deg): 71.14 87.16 68.12
Element x y z (fractional)
1 Cu 0.000 0.000 0.000
2 Cu 0.263 0.202 0.325
3 Cu 0.737 0.798 0.675
4 As 0.363 0.345 0.782
5 As 0.637 0.655 0.218
6 O 0.141 0.668 0.643
7 O 0.220 0.205 0.024
8 O 0.312 0.654 0.159
9 O 0.381 0.126 0.633
10 O 0.619 0.874 0.367
11 O 0.688 0.346 0.841
12 O 0.780 0.795 0.976
13 O 0.859 0.332 0.357

The 10 most intense peaks (15 to 90 degrees two-theta), by angle:
| two_theta | intensity |
| --- | --- |
| 20.61 | 32 |
| 27.78 | 100 |
| 28.89 | 91 |
| 30.85 | 81 |
| 32.90 | 54 |
| 35.38 | 25 |
| 36.24 | 30 |
| 37.19 | 24 |
| 44.16 | 21 |
| 61.17 | 20 |